For AlZn2Ir, a crystal structure in Alexandria, relaxed with GGA-PBE gives the computed X-ray powder pattern in this record (Cu Kα X-rays).
Neutral-atom scattering factors, no anomalous dispersion.

Largest 12 diffraction maxima, low angle first, 5 to 70 degrees two-theta:
(hkl)  two_theta  d_spacing  intensity
0 0 2  22.80  3.900  22
1 0 1  26.01  3.426  39
1 1 0  33.22  2.696  18
1 1 2  40.68  2.218  100
1 0 3  42.06  2.148  11
0 0 4  46.58  1.950  17
2 0 0  47.70  1.907  32
2 0 2  53.49  1.713  9
2 1 1  55.13  1.666  11
1 1 4  58.41  1.580  7
2 0 4  68.87  1.363  21
2 2 0  69.75  1.348  10

Cell and atoms:
```
data_AlZn2Ir
_space_group_name_H-M_alt 'I -4 m 2'
_space_group_IT_number 119
_space_group_name_Hall 'I -4 -2'
_cell_length_a 3.8134
_cell_length_b 3.8134
_cell_length_c 7.7996
_cell_angle_alpha 90.00
_cell_angle_beta 90.00
_cell_angle_gamma 90.00
loop_
_atom_site_label
_atom_site_type_symbol
_atom_site_fract_x
_atom_site_fract_y
_atom_site_fract_z
Al1 Al 0.0000 0.0000 0.0000
Zn1 Zn 0.0000 0.0000 0.5000
Zn2 Zn 0.0000 0.5000 0.2500
Ir1 Ir 0.0000 0.5000 0.7500
```